The following is a theoretical X-ray diffraction stick pattern of Sr2I3. It was derived from a DFT-relaxed cell (PBE, Alexandria), using Cu Kα, 1.54184 Å.
No peak broadening, texture or thermal motion is included.

Most intense lines, 10° ≤ 2θ ≤ 90°, most intense first:
24.77°, 3.595 Å, I 1000
30.79°, 2.904 Å, I 715
39.37°, 2.289 Å, I 403
38.98°, 2.311 Å, I 315
59.22°, 1.560 Å, I 229
14.64°, 6.050 Å, I 197

Unit cell a=9.681 b=9.681 c=9.681 alpha=48.34 beta=48.34 gamma=48.34
Fractional coordinates of all 10 atoms:
Sr: 0.162 0.162 0.162
Sr: 0.338 0.338 0.338
Sr: 0.662 0.662 0.662
Sr: 0.838 0.838 0.838
I: 0.062 0.750 0.438
I: 0.250 0.562 0.938
I: 0.438 0.062 0.750
I: 0.562 0.938 0.250
I: 0.750 0.438 0.062
I: 0.938 0.250 0.562